[1]
Structure and calculated powder XRD pattern of Ga4AgS7 (DFT lattice parameters and positions (GGA-PBE); a wavelength of 1.5418 Å).
Peak positions follow from Bragg's law for the DFT cell and can differ from measured ones.

Principal peaks in the range 2θ = 15–90°, by angle:
| 2theta | intensity |
| --- | --- |
| 15.44 | 100.0 |
| 19.44 | 22.6 |
| 22.74 | 22.2 |
| 26.68 | 31.4 |
| 26.89 | 24.9 |
| 28.05 | 53.6 |
| 28.55 | 49.6 |
| 30.33 | 20.8 |
| 31.55 | 43.1 |
| 47.96 | 43.0 |
| 52.48 | 25.7 |
| 56.77 | 23.8 |

Atomic structure:
a = 14.469 Å, b = 6.683 Å, c = 6.253 Å
α = 90.00°, β = 90.00°, γ = 90.00°
Element x y z (fractional)
Ga1 0.127 0.172 0.000
Ga2 0.241 0.328 0.480
Ga3 0.259 0.672 0.980
Ga4 0.373 0.828 0.500
Ga5 0.627 0.828 0.500
Ga6 0.741 0.672 0.980
Ga7 0.759 0.328 0.480
Ga8 0.873 0.172 0.000
Ag1 0.000 0.660 0.888
Ag2 0.500 0.340 0.388
S1 0.000 0.299 0.829
S2 0.112 0.171 0.360
S3 0.140 0.859 0.843
S4 0.245 0.658 0.355
S5 0.255 0.342 0.855
S6 0.360 0.141 0.343
S7 0.388 0.829 0.860
S8 0.500 0.701 0.329
S9 0.612 0.829 0.860
S10 0.640 0.141 0.343
S11 0.745 0.342 0.855
S12 0.755 0.658 0.355
S13 0.860 0.859 0.843
S14 0.888 0.171 0.360


[2]
Structure and calculated powder XRD pattern of GaAg2S2 (DFT lattice parameters and positions (GGA-PBE); a wavelength of 1.5418 Å).
Peak positions follow from Bragg's law for the DFT cell and can differ from measured ones.

Principal peaks in the range 2θ = 15–90°, by angle:
| 2theta | intensity |
| --- | --- |
| 27.74 | 34.1 |
| 29.69 | 48.0 |
| 36.89 | 100.0 |
| 39.63 | 44.8 |
| 45.48 | 9.8 |
| 48.79 | 15.5 |
| 51.98 | 8.8 |
| 56.84 | 22.2 |
| 57.05 | 8.9 |
| 64.59 | 19.8 |
| 75.63 | 13.4 |
| 83.25 | 8.7 |

Atomic structure:
a = 7.191 Å, b = 7.191 Å, c = 3.733 Å
α = 90.00°, β = 90.00°, γ = 90.00°
Element x y z (fractional)
Ga1 0.000 0.000 0.000
Ga2 0.500 0.500 0.000
Ag1 0.137 0.363 0.500
Ag2 0.363 0.863 0.500
Ag3 0.637 0.137 0.500
Ag4 0.863 0.637 0.500
S1 0.179 0.679 0.000
S2 0.321 0.179 0.000
S3 0.679 0.821 0.000
S4 0.821 0.321 0.000


[3]
Structure and calculated powder XRD pattern of GaAg2SbS4 (DFT lattice parameters and positions (GGA-PBE); a wavelength of 1.5418 Å).
Peak positions follow from Bragg's law for the DFT cell and can differ from measured ones.

Principal peaks in the range 2θ = 15–90°, by angle:
| 2theta | intensity |
| --- | --- |
| 23.74 | 37.8 |
| 26.68 | 42.2 |
| 27.69 | 100.0 |
| 28.33 | 57.1 |
| 30.28 | 19.5 |
| 37.28 | 14.8 |
| 39.31 | 21.9 |
| 39.82 | 28.2 |
| 45.38 | 30.2 |
| 49.58 | 21.3 |
| 49.76 | 37.6 |
| 54.36 | 24.0 |

Atomic structure:
a = 9.056 Å, b = 6.681 Å, c = 6.301 Å
α = 90.00°, β = 90.00°, γ = 90.00°
Element x y z (fractional)
Ga1 0.000 0.152 0.000
Ga2 0.500 0.848 0.500
Ag1 0.246 0.314 0.505
Ag2 0.254 0.686 0.005
Ag3 0.746 0.686 0.005
Ag4 0.754 0.314 0.505
Sb1 0.000 0.784 0.475
Sb2 0.500 0.216 0.975
S1 0.000 0.147 0.375
S2 0.000 0.824 0.877
S3 0.213 0.308 0.907
S4 0.287 0.692 0.407
S5 0.500 0.176 0.377
S6 0.500 0.853 0.875
S7 0.713 0.692 0.407
S8 0.787 0.308 0.907


[4]
Structure and calculated powder XRD pattern of Sm2GaAgS5 (DFT lattice parameters and positions (GGA-PBE); a wavelength of 1.5418 Å).
Peak positions follow from Bragg's law for the DFT cell and can differ from measured ones.

Principal peaks in the range 2θ = 15–90°, by angle:
| 2theta | intensity |
| --- | --- |
| 20.12 | 23.4 |
| 25.64 | 47.5 |
| 25.79 | 56.7 |
| 27.71 | 24.9 |
| 28.56 | 45.7 |
| 28.84 | 45.6 |
| 31.42 | 48.8 |
| 33.75 | 100.0 |
| 38.11 | 71.3 |
| 47.26 | 31.8 |
| 49.39 | 20.8 |
| 49.60 | 22.6 |

Atomic structure:
a = 9.035 Å, b = 9.035 Å, c = 11.259 Å
α = 90.00°, β = 90.00°, γ = 155.42°
Element x y z (fractional)
Sm1 0.118 0.882 0.500
Sm2 0.126 0.874 0.117
Sm3 0.874 0.126 0.617
Sm4 0.882 0.118 0.000
Ga1 0.433 0.567 0.273
Ga2 0.567 0.433 0.773
Ag1 0.227 0.773 0.841
Ag2 0.773 0.227 0.341
S1 0.040 0.960 0.883
S2 0.291 0.709 0.501
S3 0.322 0.678 0.171
S4 0.369 0.631 0.814
S5 0.499 0.501 0.095
S6 0.501 0.499 0.595
S7 0.631 0.369 0.314
S8 0.678 0.322 0.671
S9 0.709 0.291 0.001
S10 0.960 0.040 0.383


[5]
Structure and calculated powder XRD pattern of GaAg2TeS4 (DFT lattice parameters and positions (GGA-PBE); a wavelength of 1.5418 Å).
Peak positions follow from Bragg's law for the DFT cell and can differ from measured ones.

Principal peaks in the range 2θ = 15–90°, by angle:
| 2theta | intensity |
| --- | --- |
| 17.55 | 67.6 |
| 19.75 | 89.3 |
| 24.62 | 76.3 |
| 25.89 | 78.2 |
| 26.85 | 100.0 |
| 28.88 | 64.6 |
| 29.09 | 92.8 |
| 31.48 | 46.1 |
| 32.48 | 40.6 |
| 40.85 | 64.5 |
| 41.41 | 36.5 |
| 45.51 | 40.9 |

Atomic structure:
a = 5.628 Å, b = 6.290 Å, c = 6.616 Å
α = 108.97°, β = 109.94°, γ = 98.76°
Element x y z (fractional)
Ga1 0.000 0.000 0.000
Ag1 0.254 0.716 0.447
Ag2 0.377 0.540 0.038
Te1 0.931 0.224 0.542
S1 0.135 0.717 0.788
S2 0.343 0.323 0.278
S3 0.676 0.091 0.734
S4 0.854 0.825 0.218


[6]
Structure and calculated powder XRD pattern of ScGa6Ag8 (DFT lattice parameters and positions (GGA-PBE); a wavelength of 1.5418 Å).
Peak positions follow from Bragg's law for the DFT cell and can differ from measured ones.

Principal peaks in the range 2θ = 15–90°, by angle:
| 2theta | intensity |
| --- | --- |
| 16.56 | 12.8 |
| 22.62 | 19.5 |
| 28.17 | 10.3 |
| 35.33 | 11.4 |
| 38.54 | 11.1 |
| 39.72 | 100.0 |
| 40.79 | 98.8 |
| 45.15 | 10.1 |
| 58.24 | 29.0 |
| 72.08 | 11.9 |
| 72.81 | 23.6 |
| 83.95 | 11.7 |

Atomic structure:
a = 7.018 Å, b = 7.018 Å, c = 7.018 Å
α = 68.12°, β = 68.12°, γ = 68.12°
Element x y z (fractional)
Sc1 0.000 0.000 0.000
Ga1 0.037 0.701 0.407
Ga2 0.299 0.593 0.963
Ga3 0.407 0.037 0.701
Ga4 0.593 0.963 0.299
Ga5 0.701 0.407 0.037
Ga6 0.963 0.299 0.593
Ag1 0.150 0.426 0.774
Ag2 0.197 0.197 0.197
Ag3 0.226 0.850 0.574
Ag4 0.426 0.774 0.150
Ag5 0.574 0.226 0.850
Ag6 0.774 0.150 0.426
Ag7 0.803 0.803 0.803
Ag8 0.850 0.574 0.226


[7]
Structure and calculated powder XRD pattern of ScGa4Ag (DFT lattice parameters and positions (GGA-PBE); a wavelength of 1.5418 Å).
Peak positions follow from Bragg's law for the DFT cell and can differ from measured ones.

Principal peaks in the range 2θ = 15–90°, by angle:
| 2theta | intensity |
| --- | --- |
| 36.50 | 16.9 |
| 36.75 | 17.8 |
| 38.17 | 33.2 |
| 38.28 | 100.0 |
| 42.78 | 25.1 |
| 52.97 | 8.5 |
| 57.46 | 8.5 |
| 57.63 | 9.1 |
| 61.69 | 8.0 |
| 74.75 | 8.9 |
| 75.22 | 12.8 |
| 75.34 | 12.6 |

Atomic structure:
a = 5.600 Å, b = 5.600 Å, c = 6.014 Å
α = 122.13°, β = 122.13°, γ = 44.36°
Element x y z (fractional)
Sc1 0.000 0.000 0.000
Ga1 0.335 0.335 0.082
Ga2 0.335 0.335 0.590
Ga3 0.665 0.665 0.410
Ga4 0.665 0.665 0.918
Ag1 0.000 0.000 0.500


[8]
Structure and calculated powder XRD pattern of ScGa2Ag2 (DFT lattice parameters and positions (GGA-PBE); a wavelength of 1.5418 Å).
Peak positions follow from Bragg's law for the DFT cell and can differ from measured ones.

Principal peaks in the range 2θ = 15–90°, by angle:
| 2theta | intensity |
| --- | --- |
| 17.02 | 11.0 |
| 25.61 | 13.6 |
| 36.92 | 100.0 |
| 40.22 | 86.1 |
| 43.96 | 6.1 |
| 55.73 | 28.7 |
| 64.24 | 13.4 |
| 68.31 | 6.2 |
| 70.93 | 26.9 |
| 73.10 | 13.6 |
| 78.57 | 7.4 |
| 86.89 | 8.7 |

Atomic structure:
a = 5.817 Å, b = 5.817 Å, c = 5.817 Å
α = 45.34°, β = 45.34°, γ = 45.34°
Element x y z (fractional)
Sc1 0.000 0.000 0.000
Ga1 0.410 0.410 0.410
Ga2 0.590 0.590 0.590
Ag1 0.211 0.211 0.211
Ag2 0.789 0.789 0.789


[9]
Structure and calculated powder XRD pattern of GaAgSe3 (DFT lattice parameters and positions (GGA-PBE); a wavelength of 1.5418 Å).
Peak positions follow from Bragg's law for the DFT cell and can differ from measured ones.

Principal peaks in the range 2θ = 15–90°, by angle:
| 2theta | intensity |
| --- | --- |
| 19.06 | 10.0 |
| 25.27 | 10.4 |
| 25.90 | 14.5 |
| 26.67 | 20.5 |
| 26.93 | 43.9 |
| 31.22 | 14.2 |
| 33.42 | 100.0 |
| 35.97 | 12.4 |
| 44.23 | 25.4 |
| 47.11 | 12.1 |
| 49.08 | 17.6 |
| 50.71 | 10.9 |

Atomic structure:
a = 8.378 Å, b = 8.378 Å, c = 6.988 Å
α = 97.36°, β = 97.36°, γ = 98.53°
Element x y z (fractional)
Ga1 0.001 0.999 0.750
Ga2 0.331 0.669 0.250
Ga3 0.669 0.331 0.750
Ga4 0.999 0.001 0.250
Ag1 0.209 0.509 0.701
Ag2 0.491 0.791 0.799
Ag3 0.509 0.209 0.201
Ag4 0.791 0.491 0.299
Se1 0.007 0.229 0.033
Se2 0.104 0.681 0.443
Se3 0.229 0.007 0.533
Se4 0.303 0.410 0.030
Se5 0.319 0.896 0.057
Se6 0.410 0.303 0.530
Se7 0.590 0.697 0.470
Se8 0.681 0.104 0.943
Se9 0.697 0.590 0.970
Se10 0.771 0.993 0.467
Se11 0.896 0.319 0.557
Se12 0.993 0.771 0.967